Entry 1:
For Co17Hg, a GGA-PBE-relaxed structure gives the calculated powder diffraction line list in this record (Cu Kα (λ = 1.5418 Å)).
Kinematic intensities with the Lorentz-polarization factor, no thermal factor.

Atomic structure:
Cell: 4.9352 4.9352 30.9952 Å, 90.00 90.00 120.00°
Fractional positions:
1 Co 0.0000 0.0000 0.0000
2 Co 0.0000 0.0000 0.1950
3 Co 0.0000 0.0000 0.8050
4 Co 0.0000 0.5000 0.0000
5 Co 0.0019 0.5010 0.1964
6 Co 0.1665 0.3331 0.1301
7 Co 0.1667 0.3333 0.7408
8 Co 0.1668 0.3335 0.9346
9 Co 0.1665 0.8335 0.1301
10 Co 0.1667 0.8333 0.7408
11 Co 0.1668 0.8332 0.9346
12 Co 0.3333 0.1667 0.2592
13 Co 0.3331 0.1665 0.8699
14 Co 0.3333 0.6667 0.0650
15 Co 0.3333 0.6667 0.8681
16 Co 0.3335 0.1668 0.0654
17 Co 0.4990 0.5010 0.1964
18 Co 0.4990 0.9981 0.1964
19 Co 0.5000 0.0000 0.0000
20 Co 0.5000 0.5000 0.0000
21 Co 0.5010 0.0019 0.8036
22 Co 0.5010 0.4990 0.8036
23 Co 0.6665 0.8332 0.9346
24 Co 0.6667 0.3333 0.1319
25 Co 0.6667 0.3333 0.9350
26 Co 0.6669 0.8335 0.1301
27 Co 0.6667 0.8333 0.7408
28 Co 0.8332 0.1668 0.0654
29 Co 0.8333 0.1667 0.2592
30 Co 0.8335 0.1665 0.8699
31 Co 0.8332 0.6665 0.0654
32 Co 0.8333 0.6667 0.2592
33 Co 0.8335 0.6669 0.8699
34 Co 0.9981 0.4990 0.8036
35 Hg 0.3333 0.6667 0.2940
36 Hg 0.6667 0.3333 0.7060

Largest 6 diffraction maxima, sorted by position, 2θ from 10° to 80°:
d = 7.749 Å, intensity 24, (0 0 4)
d = 2.060 Å, intensity 34, (2 0 4)
d = 2.020 Å, intensity 100, (2 0 5)
d = 1.975 Å, intensity 21, (2 0 6)
d = 1.759 Å, intensity 44, (0 2 10)
d = 1.234 Å, intensity 27, (2 2 0)


Entry 2:
For Co9Hg2, a GGA-PBE-relaxed structure gives the calculated powder diffraction line list in this record (Cu Kα (λ = 1.5418 Å)).
Kinematic intensities with the Lorentz-polarization factor, no thermal factor.

Atomic structure:
Cell: 2.6142 2.6142 34.0628 Å, 90.00 90.00 120.00°
Fractional positions:
1 Co 0.0000 0.0000 0.0000
2 Co 0.0000 0.0000 0.1703
3 Co 0.0000 0.0000 0.8297
4 Co 0.3333 0.6667 0.1119
5 Co 0.3333 0.6667 0.7746
6 Co 0.3333 0.6667 0.9440
7 Co 0.6667 0.3333 0.0560
8 Co 0.6667 0.3333 0.2254
9 Co 0.6667 0.3333 0.8881
10 Hg 0.3333 0.6667 0.3019
11 Hg 0.6667 0.3333 0.6981

Largest 6 diffraction maxima, sorted by position, 2θ from 10° to 80°:
d = 6.813 Å, intensity 74, (0 0 5)
d = 4.258 Å, intensity 31, (0 0 8)
d = 2.188 Å, intensity 31, (1 0 4)
d = 2.148 Å, intensity 51, (1 0 5)
d = 2.103 Å, intensity 100, (1 0 6)
d = 1.828 Å, intensity 55, (0 1 11)


Entry 3:
For NbTlCoHg, a GGA-PBE-relaxed structure gives the calculated powder diffraction line list in this record (Cu Kα (λ = 1.5418 Å)).
Kinematic intensities with the Lorentz-polarization factor, no thermal factor.

Atomic structure:
Cell: 6.6390 6.6390 6.6390 Å, 90.00 90.00 90.00°
Fractional positions:
1 Nb 0.0000 0.0000 0.0000
2 Nb 0.0000 0.5000 0.5000
3 Nb 0.5000 0.0000 0.5000
4 Nb 0.5000 0.5000 0.0000
5 Tl 0.0000 0.0000 0.5000
6 Tl 0.0000 0.5000 0.0000
7 Tl 0.5000 0.0000 0.0000
8 Tl 0.5000 0.5000 0.5000
9 Co 0.2500 0.2500 0.7500
10 Co 0.2500 0.7500 0.2500
11 Co 0.7500 0.2500 0.2500
12 Co 0.7500 0.7500 0.7500
13 Hg 0.2500 0.2500 0.2500
14 Hg 0.2500 0.7500 0.7500
15 Hg 0.7500 0.2500 0.7500
16 Hg 0.7500 0.7500 0.2500

Largest 6 diffraction maxima, sorted by position, 2θ from 10° to 80°:
d = 3.833 Å, intensity 22, (1 1 1)
d = 2.347 Å, intensity 100, (2 2 0)
d = 2.002 Å, intensity 12, (3 1 1)
d = 1.660 Å, intensity 17, (4 0 0)
d = 1.523 Å, intensity 5, (3 3 1)
d = 1.355 Å, intensity 35, (4 2 2)


Entry 4:
For Nd4Co2Hg3, a GGA-PBE-relaxed structure gives the calculated powder diffraction line list in this record (Cu Kα (λ = 1.5418 Å)).
Kinematic intensities with the Lorentz-polarization factor, no thermal factor.

Atomic structure:
Cell: 7.4718 3.7961 8.1274 Å, 90.00 108.39 90.00°
Fractional positions:
1 Nd 0.0914 0.0000 0.2220
2 Nd 0.3947 0.0000 0.6952
3 Nd 0.6053 0.0000 0.3048
4 Nd 0.9086 0.0000 0.7780
5 Co 0.3538 0.5000 0.3995
6 Co 0.6462 0.5000 0.6005
7 Hg 0.0000 0.5000 0.5000
8 Hg 0.2925 0.5000 0.0045
9 Hg 0.7075 0.5000 0.9955

Largest 6 diffraction maxima, sorted by position, 2θ from 10° to 80°:
d = 2.893 Å, intensity 39, (2 0 1)
d = 2.705 Å, intensity 100, (0 1 2)
d = 2.647 Å, intensity 81, (2 1 -1)
d = 2.487 Å, intensity 31, (2 0 -3)
d = 2.362 Å, intensity 17, (3 0 0)
d = 1.898 Å, intensity 21, (0 2 0)